Diffraction record for Tl5Mo3F12. The powder diffraction line list is simulated, not measured: it uses a GGA+U-relaxed structure and copper Kα.

Peak list (10 most intense, 5 to 70 degrees two-theta, by angle)
2θ 14.32, 6.185 Å, intensity 40; 2θ 21.95, 4.049 Å, intensity 100; 2θ 28.87, 3.093 Å, intensity 31; 2θ 29.91, 2.987 Å, intensity 61; 2θ 30.08, 2.971 Å, intensity 40; 2θ 34.38, 2.609 Å, intensity 54; 2θ 40.25, 2.241 Å, intensity 29; 2θ 45.49, 1.994 Å, intensity 39; 2θ 47.13, 1.928 Å, intensity 36; 2θ 51.16, 1.786 Å, intensity 19

Atomic structure:
Lattice parameters (Å, degrees): 12.371 12.371 3.411 90.00 90.00 120.00
Sites, in units of the cell vectors:
1 Tl 0.000 0.828 0.000
2 Tl 0.172 0.172 0.000
3 Tl 0.333 0.667 0.000
4 Tl 0.667 0.333 0.000
5 Tl 0.828 0.000 0.000
6 Mo 0.000 0.374 0.500
7 Mo 0.374 0.000 0.500
8 Mo 0.626 0.626 0.500
9 F 0.000 0.266 0.000
10 F 0.000 0.479 0.000
11 F 0.192 0.466 0.500
12 F 0.266 0.000 0.000
13 F 0.274 0.808 0.500
14 F 0.466 0.192 0.500
15 F 0.479 0.000 0.000
16 F 0.521 0.521 0.000
17 F 0.534 0.726 0.500
18 F 0.726 0.534 0.500
19 F 0.734 0.734 0.000
20 F 0.808 0.274 0.500